This entry pairs a crystal structure of Li4Fe2Cu3O10 with its calculated X-ray powder pattern. Radiation: Cu Ka. Structure: a cell relaxed with GGA+U.
Lines closer than 0.1° are merged.

Top 6 peaks for 15 to 90 degrees two-theta, sorted by position:
2θ (°), intensity, h k l
18.31, 88, 0 1 -1
19.37, 43, 1 0 0
21.17, 37, 1 -1 0
38.05, 100, -1 2 1
44.47, 64, 1 -1 3
46.41, 57, 2 1 -2

Crystal structure
```
data_Li4Fe2Cu3O10
_chemical_formula_sum 'Li4 Fe2 Cu3 O10'
_cell_length_a 5.0210
_cell_length_b 5.5017
_cell_length_c 7.6537
_cell_angle_alpha 102.27
_cell_angle_beta 103.06
_cell_angle_gamma 106.53
_space_group_name_H-M_alt 'P -1'
_space_group_IT_number 2
_space_group_name_Hall '-P 1'
loop_
_atom_site_label
_atom_site_fract_x
_atom_site_fract_y
_atom_site_fract_z
Li1 0.1064 0.2055 0.2285
Li2 0.2821 0.5957 0.6021
Fe1 0.4059 0.8219 0.3132
Cu1 0.1961 0.3915 0.9021
Cu2 0.5000 0.0000 0.0000
O1 0.0502 0.5845 0.3148
O2 0.1620 0.8422 0.0835
O3 0.2883 0.9810 0.7633
O4 0.3873 0.1906 0.4625
O5 0.4490 0.4469 0.1456
```

This entry pairs a crystal structure of Li3Fe4CuO8 with its calculated X-ray powder pattern. Radiation: Cu Ka. Structure: a cell relaxed with GGA+U.
Lines closer than 0.1° are merged.

Top 6 peaks for 15 to 90 degrees two-theta, sorted by position:
2θ (°), intensity, h k l
18.08, 56, 2 0 -1
35.21, 21, 0 2 1
36.90, 19, 2 2 0
42.67, 100, 2 2 -2
61.86, 19, 2 2 2
62.05, 18, 6 2 -2

Crystal structure
```
data_Li3Fe4CuO8
_chemical_formula_sum 'Li6 Fe8 Cu2 O16'
_cell_length_a 10.3782
_cell_length_b 5.9578
_cell_length_c 6.0344
_cell_angle_alpha 90.00
_cell_angle_beta 125.33
_cell_angle_gamma 90.00
_space_group_name_H-M_alt 'C 1 2/m 1'
_space_group_IT_number 12
_space_group_name_Hall '-C 2y'
loop_
_atom_site_label
_atom_site_fract_x
_atom_site_fract_y
_atom_site_fract_z
Li1 0.0000 0.0000 0.0000
Li2 0.2500 0.2500 0.5000
Fe1 0.0000 0.0000 0.5000
Fe2 0.0000 0.5000 0.0000
Fe3 0.2500 0.2500 0.0000
Cu1 0.0000 0.5000 0.5000
O1 0.0080 0.2496 0.7709
O2 0.2375 0.5000 0.7564
O3 0.2431 0.5000 0.2334
```

This entry pairs a crystal structure of Li2FeCuO4 with its calculated X-ray powder pattern. Radiation: Cu Ka. Structure: a cell relaxed with GGA+U.
Lines closer than 0.1° are merged.

Top 6 peaks for 15 to 90 degrees two-theta, sorted by position:
2θ (°), intensity, h k l
18.35, 100, 1 1 -1
35.54, 47, 1 3 -1
37.18, 22, 2 2 -2
43.16, 53, 0 0 2
43.27, 27, 0 4 0
62.77, 37, 0 4 2

Crystal structure
```
data_Li2FeCuO4
_chemical_formula_sum 'Li8 Fe4 Cu4 O16'
_cell_length_a 8.3816
_cell_length_b 8.3644
_cell_length_c 5.9220
_cell_angle_alpha 90.00
_cell_angle_beta 134.93
_cell_angle_gamma 90.00
_space_group_name_H-M_alt 'C 1 2/c 1'
_space_group_IT_number 15
_space_group_name_Hall '-C 2yc'
loop_
_atom_site_label
_atom_site_fract_x
_atom_site_fract_y
_atom_site_fract_z
Li1 0.0000 0.0000 0.0000
Li2 0.2500 0.2500 0.0000
Fe1 0.0000 0.5000 0.0000
Cu1 0.2500 0.2500 0.5000
O1 0.0012 0.2554 0.4876
O2 0.2376 0.4950 0.4873
```

This entry pairs a crystal structure of Li2Fe3CuO8 with its calculated X-ray powder pattern. Radiation: Cu Ka. Structure: a cell relaxed with GGA+U.
Lines closer than 0.1° are merged.

Top 6 peaks for 15 to 90 degrees two-theta, sorted by position:
2θ (°), intensity, h k l
18.27, 100, 1 1 1
35.39, 49, 3 1 1
43.01, 56, 4 0 0
56.88, 21, 5 1 1
62.45, 33, 4 4 0
65.67, 15, 5 3 1

Crystal structure
```
data_Li2Fe3CuO8
_chemical_formula_sum 'Li8 Fe12 Cu4 O32'
_cell_length_a 8.4119
_cell_length_b 8.4119
_cell_length_c 8.4119
_cell_angle_alpha 90.00
_cell_angle_beta 90.00
_cell_angle_gamma 90.00
_space_group_name_H-M_alt 'P 43 3 2'
_space_group_IT_number 212
_space_group_name_Hall 'P 4acd 2ab 3'
loop_
_atom_site_label
_atom_site_fract_x
_atom_site_fract_y
_atom_site_fract_z
Li1 0.0039 0.0039 0.0039
Fe1 0.1245 0.1255 0.6250
Cu1 0.1250 0.8750 0.3750
O1 0.1040 0.3867 0.1177
O2 0.1152 0.6152 0.8848
```

Which formula does entry 1 have? Li4Fe2Cu3O10